Entry 1:
Structure and theoretical X-ray diffraction stick pattern of I2Br2Cl (a DFT-relaxed cell (PBE, Alexandria); Cu Kα).
Kinematic intensities with the Lorentz-polarization factor, no thermal factor.

Largest 6 diffraction maxima, low angle first, 10 to 80 degrees two-theta:
13.22°, I = 28
14.00°, I = 33
18.40°, I = 39
20.16°, I = 100
29.02°, I = 30
30.13°, I = 33

Structure:
Cell lengths 6.591, 7.512, 10.337 Å; angles 104.10, 104.98, 92.31 degrees
Sites, in units of the cell vectors:
I1 0.158 0.368 0.235
I2 0.196 0.904 0.728
I3 0.804 0.096 0.272
I4 0.842 0.632 0.765
Br1 0.152 0.666 0.450
Br2 0.156 0.184 0.969
Br3 0.844 0.816 0.031
Br4 0.848 0.334 0.550
Cl1 0.469 0.104 0.701
Cl2 0.531 0.896 0.299

Entry 2:
Structure and theoretical X-ray diffraction stick pattern of AcLaTb4Dy2 (a DFT-relaxed cell (PBE, Alexandria); Cu Kα).
Kinematic intensities with the Lorentz-polarization factor, no thermal factor.

Largest 6 diffraction maxima, low angle first, 10 to 80 degrees two-theta:
27.88°, I = 18
30.71°, I = 29
31.92°, I = 100
32.10°, I = 19
49.49°, I = 16
59.19°, I = 14

Structure:
Cell lengths 6.903, 7.401, 11.318 Å; angles 80.55, 85.06, 74.45 degrees
Sites, in units of the cell vectors:
Ac1 0.000 0.000 0.000
Ac2 0.500 0.001 0.498
La1 0.955 0.129 0.549
La2 0.960 0.617 0.547
Tb1 0.203 0.380 0.287
Tb2 0.203 0.873 0.292
Tb3 0.250 0.742 0.755
Tb4 0.258 0.252 0.757
Tb5 0.698 0.381 0.796
Tb6 0.698 0.871 0.799
Tb7 0.742 0.746 0.249
Tb8 0.748 0.256 0.251
Dy1 0.455 0.128 0.047
Dy2 0.461 0.619 0.045
Dy3 0.493 0.501 0.500
Dy4 0.998 0.500 0.002

Entry 3:
Structure and theoretical X-ray diffraction stick pattern of Sc2UB2Ru5 (a DFT-relaxed cell (PBE, Alexandria); Cu Kα).
Kinematic intensities with the Lorentz-polarization factor, no thermal factor.

Largest 6 diffraction maxima, low angle first, 10 to 80 degrees two-theta:
13.14°, I = 46
18.63°, I = 37
39.13°, I = 35
41.45°, I = 100
42.44°, I = 48
76.96°, I = 31

Structure:
Cell lengths 9.526, 9.526, 3.154 Å; angles 90.00, 90.00, 90.00 degrees
Sites, in units of the cell vectors:
Sc1 0.170 0.330 0.000
Sc2 0.330 0.830 0.000
Sc3 0.670 0.170 0.000
Sc4 0.830 0.670 0.000
U1 0.000 0.000 0.000
U2 0.500 0.500 0.000
B1 0.121 0.621 0.000
B2 0.379 0.121 0.000
B3 0.621 0.879 0.000
B4 0.879 0.379 0.000
Ru1 0.000 0.500 0.500
Ru2 0.075 0.783 0.500
Ru3 0.217 0.075 0.500
Ru4 0.283 0.575 0.500
Ru5 0.425 0.283 0.500
Ru6 0.500 0.000 0.500
Ru7 0.575 0.717 0.500
Ru8 0.717 0.425 0.500
Ru9 0.783 0.925 0.500
Ru10 0.925 0.217 0.500

Entry 4:
Structure and theoretical X-ray diffraction stick pattern of Nd2USe6 (a DFT-relaxed cell (PBE, Alexandria); Cu Kα).
Kinematic intensities with the Lorentz-polarization factor, no thermal factor.

Largest 6 diffraction maxima, low angle first, 10 to 80 degrees two-theta:
18.54°, I = 100
24.60°, I = 42
27.96°, I = 42
36.35°, I = 93
37.60°, I = 35
45.45°, I = 50

Structure:
Cell lengths 6.767, 6.767, 12.851 Å; angles 90.00, 90.00, 90.00 degrees
Sites, in units of the cell vectors:
Nd1 0.000 0.000 0.166
Nd2 0.000 0.000 0.834
Nd3 0.500 0.500 0.334
Nd4 0.500 0.500 0.666
U1 0.000 0.000 0.500
U2 0.500 0.500 0.000
Se1 0.191 0.191 0.346
Se2 0.191 0.191 0.654
Se3 0.214 0.214 0.000
Se4 0.286 0.714 0.500
Se5 0.309 0.691 0.154
Se6 0.309 0.691 0.846
Se7 0.691 0.309 0.154
Se8 0.691 0.309 0.846
Se9 0.714 0.286 0.500
Se10 0.786 0.786 0.000
Se11 0.809 0.809 0.346
Se12 0.809 0.809 0.654

Entry 5:
Structure and theoretical X-ray diffraction stick pattern of GeHPt2N (a DFT-relaxed cell (PBE, Alexandria); Cu Kα).
Kinematic intensities with the Lorentz-polarization factor, no thermal factor.

Largest 6 diffraction maxima, low angle first, 10 to 80 degrees two-theta:
20.18°, I = 52
33.18°, I = 30
39.14°, I = 100
41.03°, I = 22
47.63°, I = 30
64.64°, I = 23

Structure:
Cell lengths 3.819, 3.819, 4.400 Å; angles 90.00, 90.00, 90.00 degrees
Sites, in units of the cell vectors:
Ge1 0.000 0.000 0.000
H1 0.000 0.000 0.500
Pt1 0.000 0.500 0.500
Pt2 0.500 0.000 0.500
N1 0.500 0.500 0.000

Entry 6:
Structure and theoretical X-ray diffraction stick pattern of Tb4P2I5 (a DFT-relaxed cell (PBE, Alexandria); Cu Kα).
Kinematic intensities with the Lorentz-polarization factor, no thermal factor.

Largest 6 diffraction maxima, low angle first, 10 to 80 degrees two-theta:
10.67°, I = 59
12.80°, I = 46
21.90°, I = 57
27.14°, I = 99
31.32°, I = 100
35.98°, I = 90

Structure:
Cell lengths 12.343, 12.343, 8.291 Å; angles 91.16, 91.16, 18.68 degrees
Sites, in units of the cell vectors:
Tb1 0.013 0.013 0.311
Tb2 0.342 0.342 0.543
Tb3 0.658 0.658 0.457
Tb4 0.987 0.987 0.689
P1 0.443 0.443 0.446
P2 0.557 0.557 0.554
I1 0.137 0.137 0.182
I2 0.212 0.212 0.695
I3 0.500 0.500 0.000
I4 0.788 0.788 0.305
I5 0.863 0.863 0.818

Entry 7:
Structure and theoretical X-ray diffraction stick pattern of Y5Au4 (a DFT-relaxed cell (PBE, Alexandria); Cu Kα).
Kinematic intensities with the Lorentz-polarization factor, no thermal factor.

Largest 6 diffraction maxima, low angle first, 10 to 80 degrees two-theta:
23.48°, I = 67
31.25°, I = 100
32.32°, I = 62
33.81°, I = 47
34.79°, I = 72
38.09°, I = 54

Structure:
Cell lengths 7.435, 16.257, 7.564 Å; angles 90.00, 90.00, 90.00 degrees
Sites, in units of the cell vectors:
Y1 0.053 0.102 0.173
Y2 0.053 0.398 0.173
Y3 0.100 0.614 0.330
Y4 0.100 0.886 0.330
Y5 0.231 0.250 0.494
Y6 0.269 0.750 0.994
Y7 0.400 0.114 0.830
Y8 0.400 0.386 0.830
Y9 0.447 0.602 0.673
Y10 0.447 0.898 0.673
Y11 0.553 0.102 0.327
Y12 0.553 0.398 0.327
Y13 0.600 0.614 0.170
Y14 0.600 0.886 0.170
Y15 0.731 0.250 0.006
Y16 0.769 0.750 0.506
Y17 0.900 0.114 0.670
Y18 0.900 0.386 0.670
Y19 0.947 0.602 0.827
Y20 0.947 0.898 0.827
Au1 0.099 0.250 0.868
Au2 0.139 0.750 0.636
Au3 0.226 0.040 0.511
Au4 0.226 0.460 0.511
Au5 0.274 0.540 0.011
Au6 0.274 0.960 0.011
Au7 0.361 0.250 0.136
Au8 0.401 0.750 0.368
Au9 0.599 0.250 0.632
Au10 0.639 0.750 0.864
Au11 0.726 0.040 0.989
Au12 0.726 0.460 0.989
Au13 0.774 0.540 0.489
Au14 0.774 0.960 0.489
Au15 0.861 0.250 0.364
Au16 0.901 0.750 0.132

Entry 8:
Structure and theoretical X-ray diffraction stick pattern of BaAcO4 (a DFT-relaxed cell (PBE, Alexandria); Cu Kα).
Kinematic intensities with the Lorentz-polarization factor, no thermal factor.

Largest 6 diffraction maxima, low angle first, 10 to 80 degrees two-theta:
12.05°, I = 27
24.23°, I = 41
24.53°, I = 31
26.29°, I = 100
27.59°, I = 36
28.67°, I = 27

Structure:
Cell lengths 4.242, 4.242, 7.397 Å; angles 95.73, 95.73, 61.07 degrees
Sites, in units of the cell vectors:
Ba1 0.000 0.000 0.000
Ac1 0.387 0.387 0.433
O1 0.044 0.044 0.384
O2 0.352 0.352 0.112
O3 0.627 0.627 0.761
O4 0.762 0.762 0.646

Entry 9:
Structure and theoretical X-ray diffraction stick pattern of TbY2ScS4 (a DFT-relaxed cell (PBE, Alexandria); Cu Kα).
Kinematic intensities with the Lorentz-polarization factor, no thermal factor.

Largest 6 diffraction maxima, low angle first, 10 to 80 degrees two-theta:
28.11°, I = 23
28.37°, I = 22
32.73°, I = 100
46.95°, I = 46
58.13°, I = 12
78.08°, I = 20

Structure:
Cell lengths 6.720, 3.843, 6.720 Å; angles 90.00, 109.16, 90.00 degrees
Sites, in units of the cell vectors:
Tb1 0.000 0.000 0.000
Y1 0.000 0.500 0.500
Y2 0.500 0.000 0.500
Sc1 0.500 0.500 0.000
S1 0.256 0.500 0.245
S2 0.262 0.000 0.761
S3 0.738 0.000 0.239
S4 0.744 0.500 0.755

Entry 10:
Structure and theoretical X-ray diffraction stick pattern of Tb3HRh8 (a DFT-relaxed cell (PBE, Alexandria); Cu Kα).
Kinematic intensities with the Lorentz-polarization factor, no thermal factor.

Largest 6 diffraction maxima, low angle first, 10 to 80 degrees two-theta:
33.72°, I = 22
39.81°, I = 100
39.91°, I = 34
41.64°, I = 43
64.47°, I = 31
70.92°, I = 19

Structure:
Cell lengths 9.169, 9.169, 9.169 Å; angles 33.70, 33.70, 33.70 degrees
Sites, in units of the cell vectors:
Tb1 0.000 0.000 0.000
Tb2 0.132 0.132 0.132
Tb3 0.522 0.522 0.522
H1 0.699 0.699 0.699
Rh1 0.070 0.070 0.568
Rh2 0.070 0.568 0.070
Rh3 0.076 0.568 0.568
Rh4 0.319 0.319 0.319
Rh5 0.568 0.070 0.070
Rh6 0.568 0.076 0.568
Rh7 0.568 0.568 0.076
Rh8 0.820 0.820 0.820

Entry 11:
Structure and theoretical X-ray diffraction stick pattern of ErGa2Ni7 (a DFT-relaxed cell (PBE, Alexandria); Cu Kα).
Kinematic intensities with the Lorentz-polarization factor, no thermal factor.

Largest 6 diffraction maxima, low angle first, 10 to 80 degrees two-theta:
15.67°, I = 63
26.07°, I = 66
41.60°, I = 58
42.12°, I = 56
46.27°, I = 100
47.95°, I = 62

Structure:
Cell lengths 6.698, 6.698, 4.290 Å; angles 90.00, 90.00, 122.41 degrees
Sites, in units of the cell vectors:
Er1 0.000 0.000 0.000
Ga1 0.296 0.704 0.500
Ga2 0.704 0.296 0.500
Ni1 0.073 0.294 0.500
Ni2 0.217 0.783 0.000
Ni3 0.294 0.073 0.500
Ni4 0.500 0.500 0.500
Ni5 0.706 0.927 0.500
Ni6 0.783 0.217 0.000
Ni7 0.927 0.706 0.500

Entry 12:
Structure and theoretical X-ray diffraction stick pattern of Hf3TePb4O13 (a DFT-relaxed cell (PBE, Alexandria); Cu Kα).
Kinematic intensities with the Lorentz-polarization factor, no thermal factor.

Largest 6 diffraction maxima, low angle first, 10 to 80 degrees two-theta:
28.68°, I = 100
33.23°, I = 40
47.71°, I = 43
56.62°, I = 46
77.11°, I = 19
79.50°, I = 17

Structure:
Cell lengths 7.624, 7.624, 7.624 Å; angles 60.02, 60.02, 60.02 degrees
Sites, in units of the cell vectors:
Hf1 0.167 0.167 0.665
Hf2 0.167 0.665 0.167
Hf3 0.665 0.167 0.167
Te1 0.167 0.167 0.167
Pb1 0.165 0.668 0.668
Pb2 0.665 0.665 0.665
Pb3 0.668 0.165 0.668
Pb4 0.668 0.668 0.165
O1 0.102 0.102 0.469
O2 0.102 0.469 0.102
O3 0.102 0.491 0.491
O4 0.233 0.233 0.863
O5 0.233 0.863 0.233
O6 0.236 0.838 0.838
O7 0.469 0.102 0.102
O8 0.491 0.102 0.491
O9 0.491 0.491 0.102
O10 0.538 0.538 0.538
O11 0.838 0.236 0.838
O12 0.838 0.838 0.236
O13 0.863 0.233 0.233